Diffraction record for BaAlCo4O7. The XRD peak list is theoretical, not measured: it uses the PBE+U geometry in Alexandria and CuKα.

Most intense lines, 2θ from 10° to 90°, low angle first:
hkl 1 0 1, 2θ 19.11, intensity 266
hkl 1 1 0, 2θ 29.48, intensity 265
hkl 1 0 3, 2θ 31.90, intensity 625
hkl 1 1 2, 2θ 34.65, intensity 832
hkl 2 0 1, 2θ 35.37, intensity 1000
hkl 0 0 4, 2θ 36.08, intensity 245
hkl 2 1 3, 2θ 53.84, intensity 219
hkl 3 0 2, 2θ 55.69, intensity 216
hkl 2 0 5, 2θ 58.15, intensity 347
hkl 2 2 0, 2θ 61.17, intensity 334

Cell and atoms:
```
BaAlCo4O7
1.0
6.0607 0.0000 0.0000
-3.0304 5.2487 0.0000
0.0000 0.0000 9.9564
Ba Al Co O
2 2 8 14
direct
0.3333 0.6667 0.0000
0.6667 0.3333 0.5000
0.3333 0.6667 0.3775
0.6667 0.3333 0.8775
0.0000 0.0000 0.4397
0.0000 0.0000 0.9397
0.1783 0.3565 0.6847
0.1783 0.8217 0.6847
0.3565 0.1783 0.1847
0.6435 0.8217 0.6847
0.8217 0.1783 0.1847
0.8217 0.6435 0.1847
0.0000 0.0000 0.2424
0.0000 0.0000 0.7424
0.0261 0.5130 0.2645
0.1813 0.3626 0.4921
0.1813 0.8187 0.4921
0.3626 0.1813 0.9921
0.4870 0.5130 0.2645
0.4870 0.9739 0.2645
0.5130 0.0261 0.7645
0.5130 0.4870 0.7645
0.6374 0.8187 0.4921
0.8187 0.1813 0.9921
0.8187 0.6374 0.9921
0.9739 0.4870 0.7645
```